For Li4CrTe3O12, a structure optimized by DFT (PBE+U) gives the computed powder X-ray diffraction pattern in this record (Cu Kα (weighted mean of Kα1 and Kα2)).
Peak positions follow from Bragg's law for the DFT cell and can differ from measured ones.

Crystal structure
a b c (Å): 5.021 8.612 5.224
angles (deg): 90.00 90.88 90.00
Atoms (fractional coordinates):
Li (0.000, 0.000, 0.000)
Li (0.000, 0.332, 0.500)
Li (0.500, 0.473, 0.500)
Li (0.500, 0.887, 0.000)
Cr (0.500, 0.084, 0.500)
Te (0.000, 0.579, 0.000)
Te (0.000, 0.786, 0.500)
Te (0.500, 0.257, 0.000)
O (0.206, 0.608, 0.337)
O (0.208, 0.757, 0.821)
O (0.237, 0.928, 0.339)
O (0.264, 0.420, 0.838)
O (0.297, 0.095, 0.827)
O (0.301, 0.260, 0.314)
O (0.699, 0.260, 0.686)
O (0.703, 0.095, 0.173)
O (0.736, 0.420, 0.162)
O (0.763, 0.928, 0.661)
O (0.792, 0.757, 0.179)
O (0.794, 0.608, 0.663)

Top 8 peaks for 10 to 90 degrees two-theta, sorted by position:
hkl	2θ/deg	I (rel.)
0 1 1	19.88	41
1 1 0	20.48	100
1 2 -1	32.16	34
1 2 1	32.46	33
0 3 1	35.71	23
1 1 -2	40.03	18
2 3 1	51.63	14
0 3 3	62.37	16